[1]
For ScGa4Ru2, a crystal structure in Alexandria, relaxed with PBE gives the theoretical PXRD pattern in this record (Cu Kα, 1.54184 Å).

Crystal structure
Unit cell a=4.043 b=4.043 c=7.002 alpha=90.00 beta=90.00 gamma=90.00
Space group P4/mmm (No. 123)
Unique sites:
Sc  0.000  0.000  0.000
Ga  0.000  0.500  0.281
Ru  0.000  0.000  0.500
Ru  0.500  0.500  0.000

Largest 10 diffraction maxima, in order of rising 2θ, 10° ≤ 2θ ≤ 90°:
2θ (°), I_rel
25.4, 34
33.9, 8
40.7, 100
44.8, 48
52.3, 19
65.3, 18
71.3, 18
75.6, 6
79.9, 26
88.3, 12

***

[2]
For Sc3Ga8Ru4, a crystal structure in Alexandria, relaxed with PBE gives the theoretical PXRD pattern in this record (Cu Kα, 1.54184 Å).

Crystal structure
Unit cell a=12.437 b=12.437 c=12.437 alpha=90.00 beta=90.00 gamma=90.00
Space group Fm-3m (No. 225)
Unique sites:
Sc  0.000  0.000  0.221
Ga  0.124  0.124  0.376
Ga  0.152  0.152  0.152
Ru  0.000  0.000  0.000
Ru  0.000  0.000  0.500
Ru  0.000  0.250  0.250

Largest 10 diffraction maxima, in order of rising 2θ, 10° ≤ 2θ ≤ 90°:
2θ (°), I_rel
24.8, 20
32.2, 5
37.6, 12
41.1, 100
48.6, 15
59.5, 12
72.5, 4
74.8, 21
80.2, 5
89.1, 6

***

[3]
For Sc2Ga5Ru, a crystal structure in Alexandria, relaxed with PBE gives the theoretical PXRD pattern in this record (Cu Kα, 1.54184 Å).

Crystal structure
Unit cell a=6.085 b=6.085 c=7.213 alpha=90.00 beta=90.00 gamma=90.00
Space group I4mm (No. 107)
Unique sites:
Sc  0.000  0.500  0.000
Ga  0.000  0.000  0.053
Ga  0.219  0.219  0.750
Ru  0.000  0.000  0.426

Largest 10 diffraction maxima, in order of rising 2θ, 10° ≤ 2θ ≤ 90°:
2θ (°), I_rel
20.6, 10
35.3, 18
38.7, 100
40.3, 19
42.0, 46
46.5, 14
50.6, 12
60.9, 12
67.8, 24
74.5, 19

***

[4]
For Sc5Ga4Ru, a crystal structure in Alexandria, relaxed with PBE gives the theoretical PXRD pattern in this record (Cu Kα, 1.54184 Å).

Crystal structure
Unit cell a=3.313 b=3.313 c=16.785 alpha=90.00 beta=90.00 gamma=90.00
Space group P4/mmm (No. 123)
Unique sites:
Sc  0.000  0.000  0.000
Sc  0.000  0.000  0.205
Sc  0.000  0.000  0.410
Ga  0.500  0.500  0.103
Ga  0.500  0.500  0.308
Ru  0.500  0.500  0.500

Largest 10 diffraction maxima, in order of rising 2θ, 10° ≤ 2θ ≤ 90°:
2θ (°), I_rel
26.6, 5
26.9, 10
38.2, 100
38.4, 51
54.7, 8
55.5, 17
68.8, 14
69.3, 31
81.7, 9
82.3, 5

***

[5]
For Sc2Ga4Ru, a crystal structure in Alexandria, relaxed with PBE gives the theoretical PXRD pattern in this record (Cu Kα, 1.54184 Å).

Crystal structure
Unit cell a=4.649 b=4.649 c=13.864 alpha=90.00 beta=90.00 gamma=90.00
Space group I4/mmm (No. 139)
Unique sites:
Sc  0.000  0.000  0.126
Ga  0.000  0.000  0.320
Ga  0.000  0.500  0.000
Ru  0.000  0.000  0.500

Largest 10 diffraction maxima, in order of rising 2θ, 10° ≤ 2θ ≤ 90°:
2θ (°), I_rel
12.8, 78
20.1, 47
27.1, 44
30.1, 33
37.8, 96
38.7, 100
39.0, 30
55.2, 46
55.9, 33
56.1, 41

***

[6]
For Sc5GaRu6, a crystal structure in Alexandria, relaxed with PBE gives the theoretical PXRD pattern in this record (Cu Kα, 1.54184 Å).

Crystal structure
Unit cell a=4.473 b=6.414 c=13.466 alpha=90.00 beta=90.00 gamma=90.00
Space group Immm (No. 71)
Unique sites:
Sc  0.000  0.000  0.000
Sc  0.000  0.000  0.339
Sc  0.000  0.500  0.332
Ga  0.000  0.500  0.000
Ru  0.000  0.246  0.500
Ru  0.000  0.252  0.164

Largest 10 diffraction maxima, in order of rising 2θ, 10° ≤ 2θ ≤ 90°:
2θ (°), I_rel
28.2, 16
40.0, 100
40.2, 25
40.3, 25
57.5, 8
58.2, 16
72.5, 16
72.9, 15
73.1, 16
86.3, 10

***

[7]
For Sc11Ga9Ru4, a crystal structure in Alexandria, relaxed with PBE gives the theoretical PXRD pattern in this record (Cu Kα, 1.54184 Å).

Crystal structure
Unit cell a=13.009 b=19.560 c=3.431 alpha=90.00 beta=90.00 gamma=90.00
Space group Cmmm (No. 65)
Unique sites:
Sc  0.000  0.000  0.000
Sc  0.000  0.165  0.000
Sc  0.000  0.354  0.000
Sc  0.221  0.500  0.000
Sc  0.247  0.169  0.000
Ga  0.000  0.500  0.500
Ga  0.114  0.259  0.500
Ga  0.137  0.077  0.500
Ru  0.138  0.409  0.500

Largest 10 diffraction maxima, in order of rising 2θ, 10° ≤ 2θ ≤ 90°:
2θ (°), I_rel
26.0, 13
27.3, 9
38.1, 100
39.1, 52
47.6, 9
53.4, 13
56.5, 8
56.6, 7
68.2, 19
70.2, 20

***

[8]
For SmGa3Ru, a crystal structure in Alexandria, relaxed with PBE gives the theoretical PXRD pattern in this record (Cu Kα, 1.54184 Å).

Crystal structure
Unit cell a=6.499 b=6.499 c=6.499 alpha=90.00 beta=90.00 gamma=90.00
Space group Pm-3m (No. 221)
Unique sites:
Sm  0.000  0.000  0.500
Ga  0.000  0.000  0.000
Ga  0.292  0.292  0.292
Ru  0.000  0.500  0.500

Largest 10 diffraction maxima, in order of rising 2θ, 10° ≤ 2θ ≤ 90°:
2θ (°), I_rel
19.3, 7
27.4, 8
30.8, 15
33.8, 8
39.2, 100
41.7, 8
44.1, 7
56.7, 13
64.1, 10
71.1, 23